No. 1
Theoretical powder diffraction line list
Compound: Sr2Ca2Cu
Radiation: Cu Kα (weighted mean of Kα1 and Kα2)
Structure: a PBE-relaxed structure
Kinematic intensities with the Lorentz-polarization factor, no thermal factor.

Structure:
```
data_Sr2Ca2Cu
_chemical_formula_sum 'Sr8 Ca8 Cu4'
_space_group_name_H-M_alt 'C 1 2/c 1'
_space_group_IT_number 15
_cell_length_a 7.5881
_cell_length_b 7.5911
_cell_length_c 14.1033
_cell_angle_alpha 90.00
_cell_angle_beta 105.28
_cell_angle_gamma 90.00
loop_
_space_group_symop_operation_xyz
'x,y,z'
'-x,-y,-z'
'-x,y,-z+1/2'
'x,-y,z+1/2'
'x+1/2,y+1/2,z'
'-x+1/2,-y+1/2,-z'
'-x+1/2,y+1/2,-z+1/2'
'x+1/2,-y+1/2,z+1/2'
loop_
_atom_site_label
_atom_site_fract_x
_atom_site_fract_y
_atom_site_fract_z
Sr1 0.1831 0.1251 0.1170
Ca1 0.1808 0.3751 0.6130
Cu1 0.0000 0.1254 0.7500
```

Largest 10 diffraction maxima, sorted by position, 2θ from 15° to 90°:
16.8 deg, 5.265 Å, intensity 38, (1 1 -1); 23.3 deg, 3.821 Å, intensity 37, (1 1 -3); 24.4 deg, 3.655 Å, intensity 33, (2 0 -2); 26.2 deg, 3.401 Å, intensity 21, (0 0 4); 30.7 deg, 2.913 Å, intensity 100, (2 0 2); 30.8 deg, 2.902 Å, intensity 33, (2 0 -4); 33.4 deg, 2.683 Å, intensity 72, (2 2 -1); 47.9 deg, 1.897 Å, intensity 25, (0 4 0); 58.0 deg, 1.591 Å, intensity 20, (4 2 1); 58.1 deg, 1.587 Å, intensity 20, (2 4 -4)

---

No. 2
Theoretical powder diffraction line list
Compound: Dy2FeCo3
Radiation: Cu Kα (weighted mean of Kα1 and Kα2)
Structure: a PBE-relaxed structure
Kinematic intensities with the Lorentz-polarization factor, no thermal factor.

Structure:
```
data_Dy2FeCo3
_chemical_formula_sum 'Dy6 Fe3 Co9'
_space_group_name_H-M_alt 'R -3 m'
_space_group_IT_number 166
_space_group_name_Hall '-R 3 2"'
_cell_length_a 5.1876
_cell_length_b 5.1876
_cell_length_c 12.0089
_cell_angle_alpha 90.00
_cell_angle_beta 90.00
_cell_angle_gamma 120.00
loop_
_atom_site_label
_atom_site_fract_x
_atom_site_fract_y
_atom_site_fract_z
Dy1 0.0000 0.0000 0.1270
Fe1 0.0000 0.0000 0.5000
Co1 0.0000 0.5000 0.0000
```

Largest 10 diffraction maxima, sorted by position, 2θ from 15° to 90°:
21.1 deg, 4.208 Å, intensity 22, (1 0 1); 34.6 deg, 2.594 Å, intensity 66, (1 1 0); 36.0 deg, 2.496 Å, intensity 61, (1 0 4); 40.9 deg, 2.208 Å, intensity 51, (0 2 1); 41.5 deg, 2.177 Å, intensity 100, (1 1 3); 42.7 deg, 2.118 Å, intensity 40, (0 1 5); 62.9 deg, 1.478 Å, intensity 24, (2 1 4); 66.7 deg, 1.403 Å, intensity 24, (3 0 3); 67.6 deg, 1.387 Å, intensity 20, (1 2 5); 72.9 deg, 1.297 Å, intensity 22, (2 2 0)

---

No. 3
Theoretical powder diffraction line list
Compound: Sc2Ge2Os
Radiation: Cu Kα (weighted mean of Kα1 and Kα2)
Structure: a PBE-relaxed structure
Kinematic intensities with the Lorentz-polarization factor, no thermal factor.

Structure:
```
data_Sc2Ge2Os
_chemical_formula_sum 'Sc8 Ge8 Os4'
_space_group_name_H-M_alt 'P 4/m n c'
_space_group_IT_number 128
_space_group_name_Hall '-P 4 2n'
_cell_length_a 6.5878
_cell_length_b 6.5878
_cell_length_c 8.0094
_cell_angle_alpha 90.00
_cell_angle_beta 90.00
_cell_angle_gamma 90.00
loop_
_atom_site_label
_atom_site_fract_x
_atom_site_fract_y
_atom_site_fract_z
Sc1 0.1714 0.3259 0.0000
Ge1 0.1353 0.6353 0.2500
Os1 0.0000 0.0000 0.2819
```

Largest 10 diffraction maxima, sorted by position, 2θ from 15° to 90°:
19.1 deg, 4.658 Å, intensity 42, (1 1 0); 22.2 deg, 4.005 Å, intensity 80, (0 0 2); 29.4 deg, 3.037 Å, intensity 47, (1 1 2); 35.3 deg, 2.544 Å, intensity 76, (2 0 2); 37.9 deg, 2.373 Å, intensity 96, (2 1 2); 38.7 deg, 2.329 Å, intensity 34, (2 2 0); 43.4 deg, 2.083 Å, intensity 100, (3 1 0); 45.3 deg, 2.002 Å, intensity 31, (0 0 4); 49.3 deg, 1.848 Å, intensity 67, (3 1 2); 64.6 deg, 1.444 Å, intensity 40, (3 1 4)

---

No. 4
Theoretical powder diffraction line list
Compound: RbBa
Radiation: Cu Kα (weighted mean of Kα1 and Kα2)
Structure: a PBE-relaxed structure
Kinematic intensities with the Lorentz-polarization factor, no thermal factor.

Structure:
```
data_RbBa
_chemical_formula_sum 'Rb2 Ba2'
_space_group_name_H-M_alt 'P 1'
_space_group_IT_number 1
_cell_length_a 4.6203
_cell_length_b 4.6280
_cell_length_c 16.0196
_cell_angle_alpha 89.84
_cell_angle_beta 89.93
_cell_angle_gamma 60.45
loop_
_space_group_symop_operation_xyz
'x,y,z'
loop_
_atom_site_label
_atom_site_fract_x
_atom_site_fract_y
_atom_site_fract_z
Rb1 0.0000 0.0000 0.0000
Rb2 0.3466 0.3468 0.2708
Ba1 0.0107 0.0057 0.5226
Ba2 0.6704 0.6590 0.7479
```

Largest 10 diffraction maxima, sorted by position, 2θ from 15° to 90°:
22.2 deg, 4.004 Å, intensity 56, (0 0 4); 22.8 deg, 3.902 Å, intensity 38, (1 0 1); 22.9 deg, 3.876 Å, intensity 22, (1 1 -1); 24.8 deg, 3.595 Å, intensity 100, (0 1 2); 24.9 deg, 3.575 Å, intensity 42, (1 1 -2); 27.8 deg, 3.212 Å, intensity 28, (1 0 -3); 27.9 deg, 3.202 Å, intensity 20, (1 1 3); 39.0 deg, 2.312 Å, intensity 25, (2 1 0); 40.5 deg, 2.225 Å, intensity 24, (0 1 6); 45.3 deg, 2.004 Å, intensity 20, (2 1 4)

---

No. 5
Theoretical powder diffraction line list
Compound: TiAl2Pd8
Radiation: Cu Kα (weighted mean of Kα1 and Kα2)
Structure: a PBE-relaxed structure
Kinematic intensities with the Lorentz-polarization factor, no thermal factor.

Structure:
```
data_TiAl2Pd8
_chemical_formula_sum 'Ti2 Al4 Pd16'
_space_group_name_H-M_alt 'I m m m'
_space_group_IT_number 71
_space_group_name_Hall '-I 2 2'
_cell_length_a 4.0197
_cell_length_b 6.9465
_cell_length_c 12.1168
_cell_angle_alpha 90.00
_cell_angle_beta 90.00
_cell_angle_gamma 90.00
loop_
_atom_site_label
_atom_site_fract_x
_atom_site_fract_y
_atom_site_fract_z
Ti1 0.0000 0.0000 0.0000
Al1 0.0000 0.0000 0.3115
Pd1 0.0000 0.1984 0.5000
Pd2 0.0000 0.2788 0.1630
Pd3 0.0000 0.5000 0.3555
```

Largest 10 diffraction maxima, sorted by position, 2θ from 15° to 90°:
31.4 deg, 2.849 Å, intensity 17, (1 0 3); 39.4 deg, 2.285 Å, intensity 20, (1 1 4); 39.6 deg, 2.274 Å, intensity 15, (0 3 1); 41.0 deg, 2.203 Å, intensity 100, (1 2 3); 44.9 deg, 2.019 Å, intensity 19, (0 0 6); 45.1 deg, 2.010 Å, intensity 25, (2 0 0); 61.6 deg, 1.506 Å, intensity 9, (2 3 1); 65.5 deg, 1.425 Å, intensity 12, (2 0 6); 79.6 deg, 1.205 Å, intensity 9, (1 5 4); 80.4 deg, 1.194 Å, intensity 13, (3 2 3)

---

No. 6
Theoretical powder diffraction line list
Compound: AcBr4N2
Radiation: Cu Kα (weighted mean of Kα1 and Kα2)
Structure: a PBE-relaxed structure
Kinematic intensities with the Lorentz-polarization factor, no thermal factor.

Structure:
```
data_AcBr4N2
_chemical_formula_sum 'Ac2 Br8 N4'
_space_group_name_H-M_alt 'C 1 2/m 1'
_space_group_IT_number 12
_cell_length_a 19.2875
_cell_length_b 4.8199
_cell_length_c 5.9401
_cell_angle_alpha 90.00
_cell_angle_beta 107.85
_cell_angle_gamma 90.00
loop_
_space_group_symop_operation_xyz
'x,y,z'
'-x,-y,-z'
'-x,y,-z'
'x,-y,z'
'x+1/2,y+1/2,z'
'-x+1/2,-y+1/2,-z'
'-x+1/2,y+1/2,-z'
'x+1/2,-y+1/2,z'
loop_
_atom_site_label
_atom_site_fract_x
_atom_site_fract_y
_atom_site_fract_z
Ac1 0.0000 0.0000 0.0000
Br1 0.0777 0.0000 0.5774
Br2 0.1047 0.5000 0.1043
N1 0.2449 0.5000 0.7451
```

Largest 10 diffraction maxima, sorted by position, 2θ from 15° to 90°:
15.7 deg, 5.652 Å, intensity 50, (0 0 1); 19.0 deg, 4.662 Å, intensity 43, (1 1 0); 23.5 deg, 3.787 Å, intensity 45, (3 1 0); 30.1 deg, 2.970 Å, intensity 43, (2 0 -2); 30.8 deg, 2.901 Å, intensity 100, (5 1 -1); 31.7 deg, 2.826 Å, intensity 24, (0 0 2); 37.3 deg, 2.410 Å, intensity 24, (0 2 0); 38.0 deg, 2.369 Å, intensity 61, (5 1 1); 38.5 deg, 2.337 Å, intensity 25, (5 1 -2); 53.9 deg, 1.701 Å, intensity 34, (7 1 -3)

---

No. 7
Theoretical powder diffraction line list
Compound: Rb4BrO
Radiation: Cu Kα (weighted mean of Kα1 and Kα2)
Structure: a PBE-relaxed structure
Kinematic intensities with the Lorentz-polarization factor, no thermal factor.

Structure:
```
data_Rb4BrO
_chemical_formula_sum 'Rb4 Br1 O1'
_space_group_name_H-M_alt 'P 1 2/m 1'
_space_group_IT_number 10
_cell_length_a 7.7348
_cell_length_b 4.4532
_cell_length_c 7.7538
_cell_angle_alpha 90.00
_cell_angle_beta 90.24
_cell_angle_gamma 90.00
loop_
_space_group_symop_operation_xyz
'x,y,z'
'-x,-y,-z'
'-x,y,-z'
'x,-y,z'
loop_
_atom_site_label
_atom_site_fract_x
_atom_site_fract_y
_atom_site_fract_z
Rb1 0.1668 0.0000 0.3297
Rb2 0.2588 0.5000 0.7529
Br1 0.5000 0.0000 0.0000
O1 0.0000 0.5000 0.5000
```

Largest 10 diffraction maxima, sorted by position, 2θ from 15° to 90°:
16.2 deg, 5.482 Å, intensity 32, (1 0 -1); 23.0 deg, 3.872 Å, intensity 17, (0 0 2); 25.7 deg, 3.469 Å, intensity 29, (2 0 -1); 25.8 deg, 3.453 Å, intensity 100, (1 1 1); 32.7 deg, 2.739 Å, intensity 24, (1 1 -2); 32.8 deg, 2.733 Å, intensity 42, (2 0 2); 40.4 deg, 2.233 Å, intensity 24, (3 1 0); 53.0 deg, 1.726 Å, intensity 16, (2 2 2); 54.4 deg, 1.686 Å, intensity 15, (3 1 3); 57.0 deg, 1.616 Å, intensity 17, (2 1 -4)

---

No. 8
Theoretical powder diffraction line list
Compound: Cs3Na2Cl3F2
Radiation: Cu Kα (weighted mean of Kα1 and Kα2)
Structure: a PBE-relaxed structure
Kinematic intensities with the Lorentz-polarization factor, no thermal factor.

Structure:
```
data_Cs3Na2Cl3F2
_chemical_formula_sum 'Cs6 Na4 Cl6 F4'
_space_group_name_H-M_alt 'I 4/m m m'
_space_group_IT_number 139
_space_group_name_Hall '-I 4 2'
_cell_length_a 4.7551
_cell_length_b 4.7551
_cell_length_c 27.2163
_cell_angle_alpha 90.00
_cell_angle_beta 90.00
_cell_angle_gamma 90.00
loop_
_atom_site_label
_atom_site_fract_x
_atom_site_fract_y
_atom_site_fract_z
Cs1 0.0000 0.0000 0.0000
Cs2 0.0000 0.0000 0.3632
Na1 0.0000 0.0000 0.2309
Cl1 0.0000 0.0000 0.1285
Cl2 0.0000 0.0000 0.5000
F1 0.0000 0.5000 0.2500
```

Largest 10 diffraction maxima, sorted by position, 2θ from 15° to 90°:
21.1 deg, 4.212 Å, intensity 75, (1 0 3); 24.9 deg, 3.581 Å, intensity 28, (1 0 5); 26.2 deg, 3.402 Å, intensity 55, (0 0 8); 26.5 deg, 3.362 Å, intensity 100, (1 1 0); 33.2 deg, 2.701 Å, intensity 36, (1 1 6); 37.6 deg, 2.391 Å, intensity 58, (1 1 8); 37.8 deg, 2.378 Å, intensity 50, (2 0 0); 46.6 deg, 1.949 Å, intensity 42, (2 0 8); 54.6 deg, 1.682 Å, intensity 37, (2 2 0); 61.7 deg, 1.504 Å, intensity 28, (3 1 0)